[1]
For MgFe6O9F3, a crystal structure in the Materials Project, relaxed with PBE+U gives the calculated PXRD pattern in this record (copper Kα).

Atomic structure:
abc: 5.709 5.892 7.360
angles: 68.93 72.61 78.72
Atoms (fractional coordinates):
1 Mg 0.000 0.000 0.000
2 Fe 0.010 0.515 0.499
3 Fe 0.064 0.474 0.992
4 Fe 0.285 0.891 0.652
5 Fe 0.358 0.856 0.188
6 Fe 0.634 0.201 0.799
7 Fe 0.712 0.161 0.333
8 O 0.006 0.162 0.695
9 O 0.099 0.625 0.696
10 O 0.254 0.738 0.951
11 O 0.305 0.180 0.981
12 O 0.452 0.972 0.363
13 O 0.570 0.081 0.614
14 O 0.773 0.284 0.046
15 O 0.926 0.390 0.297
16 O 0.996 0.863 0.305
17 F 0.372 0.500 0.339
18 F 0.646 0.546 0.645
19 F 0.708 0.846 0.006

Most intense lines, 2θ = 10–80°, low angle first:
two_theta  d/Å  I (rel.)  index
24.2  3.673  100  1 -1 0
26.5  3.368  90  1 1 2
35.0  2.563  26  1 0 -2
35.1  2.554  21  0 2 2
35.3  2.546  28  1 2 0
35.5  2.531  21  2 1 0
35.8  2.506  22  0 1 -2
40.7  2.219  19  0 0 3
51.2  1.783  16  1 -2 2
63.0  1.475  16  2 2 -2

[2]
For Mg6VSnO8, a crystal structure in the Materials Project, relaxed with PBE+U gives the calculated PXRD pattern in this record (copper Kα).

Atomic structure:
abc: 4.445 4.445 8.929
angles: 90.00 90.00 90.00
Atoms (fractional coordinates):
1 Mg 0.000 0.000 0.000
2 Mg 0.000 0.000 0.500
3 Mg 0.000 0.500 0.239
4 Mg 0.000 0.500 0.761
5 Mg 0.500 0.000 0.239
6 Mg 0.500 0.000 0.761
7 V 0.500 0.500 0.000
8 Sn 0.500 0.500 0.500
9 O 0.000 0.000 0.248
10 O 0.000 0.000 0.752
11 O 0.000 0.500 0.000
12 O 0.000 0.500 0.500
13 O 0.500 0.000 0.000
14 O 0.500 0.000 0.500
15 O 0.500 0.500 0.234
16 O 0.500 0.500 0.766

Most intense lines, 2θ = 10–80°, low angle first:
two_theta  d/Å  I (rel.)  index
19.9  4.452  65  0 0 2
22.3  3.980  20  1 0 1
28.4  3.148  56  1 0 2
34.9  2.570  55  1 1 2
40.4  2.232  49  0 0 4
40.6  2.223  100  2 0 0
45.6  1.989  21  2 0 2
58.6  1.575  59  2 0 4
58.7  1.572  30  2 2 0
73.7  1.285  28  2 2 4

[3]
For Li3Fe2Si2O8, a crystal structure in the Materials Project, relaxed with PBE+U gives the calculated PXRD pattern in this record (copper Kα).

Atomic structure:
abc: 5.033 5.316 6.723
angles: 91.27 90.82 90.22
Atoms (fractional coordinates):
1 Li 0.000 0.000 0.000
2 Li 0.003 0.489 0.781
3 Li 0.504 0.684 0.001
4 Fe 0.005 0.024 0.480
5 Fe 0.523 0.638 0.493
6 Si 0.514 0.161 0.750
7 Si 0.993 0.521 0.229
8 O 0.067 0.220 0.257
9 O 0.111 0.673 0.441
10 O 0.118 0.638 0.030
11 O 0.180 0.148 0.720
12 O 0.605 0.460 0.744
13 O 0.620 0.015 0.940
14 O 0.634 0.020 0.542
15 O 0.675 0.570 0.236

Most intense lines, 2θ = 10–80°, low angle first:
two_theta  d/Å  I (rel.)  index
13.2  6.721  100  0 0 1
21.1  4.214  40  0 1 -1
21.9  4.056  20  1 0 -1
22.2  4.001  24  1 0 1
27.8  3.209  31  -1 1 1
28.1  3.171  30  1 1 1
31.2  2.869  16  0 1 -2
31.8  2.812  21  0 1 2
33.7  2.657  37  0 2 0
35.7  2.516  43  2 0 0

[4]
For FeAgSe2O6, a crystal structure in the Materials Project, relaxed with PBE+U gives the calculated PXRD pattern in this record (copper Kα).

Atomic structure:
abc: 14.164 5.368 7.771
angles: 90.00 90.00 90.00
Atoms (fractional coordinates):
1 Fe 0.126 0.210 0.000
2 Fe 0.374 0.710 0.500
3 Fe 0.626 0.290 0.000
4 Fe 0.874 0.790 0.500
5 Ag 0.121 0.868 0.489
6 Ag 0.379 0.368 0.989
7 Ag 0.621 0.632 0.489
8 Ag 0.879 0.132 0.989
9 Se 0.027 0.698 0.818
10 Se 0.222 0.729 0.179
11 Se 0.278 0.229 0.679
12 Se 0.473 0.198 0.318
13 Se 0.527 0.802 0.818
14 Se 0.722 0.771 0.179
15 Se 0.778 0.271 0.679
16 Se 0.973 0.302 0.318
17 O 0.012 0.422 0.933
18 O 0.037 0.912 0.986
19 O 0.088 0.244 0.255
20 O 0.164 0.169 0.745
21 O 0.214 0.512 0.010
22 O 0.239 0.003 0.068
23 O 0.261 0.503 0.568
24 O 0.286 0.012 0.510
25 O 0.336 0.669 0.245
26 O 0.412 0.744 0.755
27 O 0.463 0.412 0.486
28 O 0.488 0.922 0.433
29 O 0.512 0.078 0.933
30 O 0.537 0.588 0.986
31 O 0.588 0.256 0.255
32 O 0.664 0.331 0.745
33 O 0.714 0.988 0.010
34 O 0.739 0.497 0.068
35 O 0.761 0.997 0.568
36 O 0.786 0.488 0.510
37 O 0.836 0.831 0.245
38 O 0.912 0.756 0.755
39 O 0.963 0.088 0.486
40 O 0.988 0.578 0.433

Most intense lines, 2θ = 10–80°, low angle first:
two_theta  d/Å  I (rel.)  index
20.1  4.416  19  0 1 1
23.7  3.747  100  2 1 1
26.2  3.406  41  2 0 2
27.7  3.224  16  4 0 1
29.1  3.072  19  1 1 2
32.4  2.763  76  4 1 1
34.3  2.617  37  4 0 2
36.0  2.497  18  1 2 1
38.6  2.333  57  0 1 3
48.6  1.874  18  4 2 2